# 1
Starting from a structure optimized by DFT (PBE), the X-ray diffraction stick pattern of Ta6Mo was computed for λ = 1.5418 Å (Cu Kα).

Most intense lines, 10° ≤ 2θ ≤ 90°, low angle first:
Position (°2θ)  intensity
38.47  25
38.60  25
38.73  100
55.60  9
55.67  9
56.23  9
69.76  17
69.93  17
70.24  17
83.09  11

Atomic structure:
```
data_Ta6Mo
_cell_length_a 10.443
_cell_length_b 3.272
_cell_length_c 7.395
_cell_angle_alpha 90.00
_cell_angle_beta 98.31
_cell_angle_gamma 90.00
_space_group_name_H-M_alt 'C 1 2/m 1'
_space_group_IT_number 12
_space_group_name_Hall '-C 2y'
loop_
_atom_site_label
_atom_site_fract_x
_atom_site_fract_y
_atom_site_fract_z
Ta1 0.072 0.000 0.223
Ta2 0.143 0.500 0.934
Ta3 0.205 0.000 0.640
Mo1 0.000 0.500 0.500
```

# 2
Starting from a structure optimized by DFT (PBE), the X-ray diffraction stick pattern of TaMo3 was computed for λ = 1.5418 Å (Cu Kα).

Most intense lines, 10° ≤ 2θ ≤ 90°, low angle first:
Position (°2θ)  intensity
12.03  11
30.47  7
39.76  100
39.94  98
57.63  33
72.18  17
72.30  34
72.65  16
85.72  11
86.16  11

Atomic structure:
```
data_TaMo3
_cell_length_a 4.5336
_cell_length_b 4.5336
_cell_length_c 22.0714
_cell_angle_alpha 90.00
_cell_angle_beta 90.00
_cell_angle_gamma 120.00
_space_group_name_H-M_alt 'R -3 m'
_space_group_IT_number 166
_space_group_name_Hall '-R 3 2"'
loop_
_atom_site_label
_atom_site_fract_x
_atom_site_fract_y
_atom_site_fract_z
Ta1 0.0000 0.0000 0.1891
Mo1 0.0000 0.0000 0.0616
Mo2 0.0000 0.0000 0.3137
Mo3 0.0000 0.0000 0.4361
```